Record 1
For Ac2Sm5YEr, a DFT-relaxed cell (GGA-PBE, Alexandria) gives the theoretical powder diffractogram in this record (Cu Kα X-rays).
Peak positions follow from Bragg's law for the DFT cell and can differ from measured ones.

Cell and atoms:
```
Ac2Sm5YEr
1.0
2.903 -10.271 0.000
2.903 10.271 0.000
0.000 0.000 10.916
Ac Sm Y Er
4 10 2 2
Direct
0.112 0.888 0.500 Ac
0.117 0.883 0.084 Ac
0.883 0.117 0.584 Ac
0.888 0.112 0.000 Ac
0.019 0.981 0.788 Sm
0.281 0.719 0.075 Sm
0.296 0.704 0.469 Sm
0.387 0.613 0.788 Sm
0.482 0.518 0.509 Sm
0.518 0.482 0.009 Sm
0.613 0.387 0.288 Sm
0.704 0.296 0.969 Sm
0.719 0.281 0.575 Sm
0.981 0.019 0.288 Sm
0.408 0.592 0.233 Y
0.592 0.408 0.733 Y
0.205 0.795 0.777 Er
0.795 0.205 0.277 Er
```

Top 12 peaks for 10° ≤ 2θ ≤ 90°, sorted by position:
two_theta, intensity
25.9, 13
27.3, 18
29.3, 42
30.8, 41
31.3, 100
32.8, 13
41.6, 12
45.6, 11
49.5, 13
55.1, 20
57.7, 17
59.5, 15

Record 2
For VNi7As2, a DFT-relaxed cell (GGA-PBE, Alexandria) gives the theoretical powder diffractogram in this record (Cu Kα X-rays).
Peak positions follow from Bragg's law for the DFT cell and can differ from measured ones.

Cell and atoms:
```
VNi7As2
1.0
-1.806 1.806 9.742
1.806 -1.806 9.742
1.806 1.806 -9.742
V Ni As
1 7 2
Direct
0.000 0.000 0.000 V
0.090 0.590 0.500 Ni
0.250 0.750 0.500 Ni
0.410 0.910 0.500 Ni
0.500 0.500 0.000 Ni
0.590 0.090 0.500 Ni
0.750 0.250 0.500 Ni
0.910 0.410 0.500 Ni
0.329 0.329 0.000 As
0.671 0.671 0.000 As
```

Top 12 peaks for 10° ≤ 2θ ≤ 90°, sorted by position:
two_theta, intensity
25.1, 9
27.5, 3
28.3, 17
33.8, 6
35.1, 4
45.2, 100
49.1, 3
50.5, 36
56.7, 11
58.9, 4
74.3, 11
79.4, 16

Record 3
For LiMg3Ga4, a DFT-relaxed cell (GGA-PBE, Alexandria) gives the theoretical powder diffractogram in this record (Cu Kα X-rays).
Peak positions follow from Bragg's law for the DFT cell and can differ from measured ones.

Cell and atoms:
```
LiMg3Ga4
1.0
15.820 0.000 0.000
0.000 3.086 0.000
-2.015 0.000 6.630
Li Mg Ga
2 6 8
Direct
0.000 0.000 0.000 Li
0.500 0.500 0.000 Li
0.000 0.500 0.500 Mg
0.196 0.500 0.147 Mg
0.304 0.000 0.853 Mg
0.500 0.000 0.500 Mg
0.696 0.000 0.147 Mg
0.804 0.500 0.853 Mg
0.121 0.000 0.798 Ga
0.158 0.000 0.454 Ga
0.342 0.500 0.546 Ga
0.379 0.500 0.202 Ga
0.621 0.500 0.798 Ga
0.658 0.500 0.454 Ga
0.842 0.000 0.546 Ga
0.879 0.000 0.202 Ga
```

Top 12 peaks for 10° ≤ 2θ ≤ 90°, sorted by position:
two_theta, intensity
11.7, 43
13.4, 63
23.5, 100
29.5, 57
34.1, 84
38.0, 63
38.7, 76
39.1, 52
40.8, 44
41.8, 70
45.1, 52
49.7, 41

Record 4
For V2TeSe3, a DFT-relaxed cell (GGA-PBE, Alexandria) gives the theoretical powder diffractogram in this record (Cu Kα X-rays).
Peak positions follow from Bragg's law for the DFT cell and can differ from measured ones.

Cell and atoms:
```
V2TeSe3
1.0
3.393 0.000 0.000
-1.697 2.938 0.000
0.000 0.000 28.203
V Te Se
4 2 6
Direct
0.000 0.000 0.000 V
0.000 0.000 0.489 V
0.667 0.333 0.245 V
0.667 0.333 0.745 V
0.000 0.000 0.679 Te
0.000 0.000 0.810 Te
0.000 0.000 0.189 Se
0.000 0.000 0.301 Se
0.667 0.333 0.056 Se
0.667 0.333 0.433 Se
0.667 0.333 0.545 Se
0.667 0.333 0.944 Se
```

Top 12 peaks for 10° ≤ 2θ ≤ 90°, sorted by position:
two_theta, intensity
12.6, 51
25.3, 33
30.4, 57
31.1, 40
36.0, 100
39.9, 17
44.5, 77
54.1, 42
60.6, 18
66.7, 15
72.5, 17
78.2, 21

Record 5
For Ca2TaV, a DFT-relaxed cell (GGA-PBE, Alexandria) gives the theoretical powder diffractogram in this record (Cu Kα X-rays).
Peak positions follow from Bragg's law for the DFT cell and can differ from measured ones.

Cell and atoms:
```
Ca2TaV
1.0
7.394 0.000 0.000
0.000 7.394 0.000
0.000 0.000 7.394
Ca Ta V
8 4 4
Direct
0.250 0.250 0.250 Ca
0.250 0.250 0.750 Ca
0.250 0.750 0.250 Ca
0.250 0.750 0.750 Ca
0.750 0.250 0.250 Ca
0.750 0.250 0.750 Ca
0.750 0.750 0.250 Ca
0.750 0.750 0.750 Ca
0.000 0.000 0.000 Ta
0.000 0.500 0.500 Ta
0.500 0.000 0.500 Ta
0.500 0.500 0.000 Ta
0.000 0.000 0.500 V
0.000 0.500 0.000 V
0.500 0.000 0.000 V
0.500 0.500 0.500 V
```

Top 12 peaks for 10° ≤ 2θ ≤ 90°, sorted by position:
two_theta, intensity
20.8, 37
24.1, 25
34.3, 100
40.5, 22
42.3, 8
49.3, 17
54.1, 10
55.6, 11
61.4, 35
65.6, 7
72.3, 11
82.5, 15

Record 6
For Ta2Ti3Mo6, a DFT-relaxed cell (GGA-PBE, Alexandria) gives the theoretical powder diffractogram in this record (Cu Kα X-rays).
Peak positions follow from Bragg's law for the DFT cell and can differ from measured ones.

Cell and atoms:
```
Ta2Ti3Mo6
1.0
4.506 -6.798 0.000
4.506 6.798 0.000
0.000 0.000 3.139
Ta Ti Mo
2 3 6
Direct
0.186 0.186 0.000 Ta
0.814 0.814 0.000 Ta
0.298 0.702 0.000 Ti
0.500 0.500 0.500 Ti
0.702 0.298 0.000 Ti
0.116 0.429 0.500 Mo
0.129 0.871 0.500 Mo
0.429 0.116 0.500 Mo
0.571 0.884 0.500 Mo
0.871 0.129 0.500 Mo
0.884 0.571 0.500 Mo
```

Top 12 peaks for 10° ≤ 2θ ≤ 90°, sorted by position:
two_theta, intensity
11.8, 73
13.0, 27
19.7, 34
31.4, 42
35.9, 72
36.2, 47
37.3, 90
39.1, 100
39.8, 48
40.0, 30
42.2, 74
45.0, 32

Record 7
For CdH4Pd6, a DFT-relaxed cell (GGA-PBE, Alexandria) gives the theoretical powder diffractogram in this record (Cu Kα X-rays).
Peak positions follow from Bragg's law for the DFT cell and can differ from measured ones.

Cell and atoms:
```
CdH4Pd6
1.0
4.902 0.000 0.000
0.000 10.675 0.000
-0.735 0.000 4.924
Cd H Pd
2 8 12
Direct
0.036 0.250 0.172 Cd
0.964 0.750 0.828 Cd
0.023 0.613 0.278 H
0.023 0.887 0.278 H
0.422 0.609 0.571 H
0.422 0.891 0.571 H
0.578 0.109 0.429 H
0.578 0.391 0.429 H
0.977 0.113 0.722 H
0.977 0.387 0.722 H
0.000 0.000 0.000 Pd
0.000 0.500 0.000 Pd
0.255 0.069 0.548 Pd
0.255 0.431 0.548 Pd
0.257 0.750 0.377 Pd
0.482 0.624 0.926 Pd
0.482 0.876 0.926 Pd
0.518 0.124 0.074 Pd
0.518 0.376 0.074 Pd
0.743 0.250 0.623 Pd
0.745 0.569 0.452 Pd
0.745 0.931 0.452 Pd
```

Top 12 peaks for 10° ≤ 2θ ≤ 90°, sorted by position:
two_theta, intensity
31.2, 55
36.5, 30
37.5, 63
37.6, 100
38.5, 78
38.9, 96
40.3, 30
41.6, 74
42.2, 35
44.0, 60
44.9, 26
46.5, 40

Record 8
For Ca2MgGeO5, a DFT-relaxed cell (GGA-PBE, Alexandria) gives the theoretical powder diffractogram in this record (Cu Kα X-rays).
Peak positions follow from Bragg's law for the DFT cell and can differ from measured ones.

Cell and atoms:
```
Ca2MgGeO5
1.0
1.618 -6.325 0.000
1.618 6.325 0.000
0.000 0.000 10.645
Ca Mg Ge O
4 2 2 10
Direct
0.098 0.902 0.500 Ca
0.160 0.840 0.125 Ca
0.840 0.160 0.625 Ca
0.902 0.098 0.000 Ca
0.220 0.780 0.855 Mg
0.780 0.220 0.355 Mg
0.468 0.532 0.272 Ge
0.532 0.468 0.772 Ge
0.053 0.947 0.860 O
0.273 0.727 0.489 O
0.322 0.678 0.231 O
0.386 0.614 0.826 O
0.491 0.509 0.610 O
0.509 0.491 0.110 O
0.614 0.386 0.326 O
0.678 0.322 0.731 O
0.727 0.273 0.989 O
0.947 0.053 0.360 O
```

Top 12 peaks for 10° ≤ 2θ ≤ 90°, sorted by position:
two_theta, intensity
14.0, 36
16.7, 25
21.8, 35
28.9, 49
29.5, 28
33.2, 100
35.0, 38
38.3, 57
43.8, 36
46.3, 22
56.9, 26
59.2, 22

Record 9
For Pu4Ge2Pt, a DFT-relaxed cell (GGA-PBE, Alexandria) gives the theoretical powder diffractogram in this record (Cu Kα X-rays).
Peak positions follow from Bragg's law for the DFT cell and can differ from measured ones.

Cell and atoms:
```
Pu4Ge2Pt
1.0
-4.362 4.362 4.406
4.362 -4.362 4.406
4.362 4.362 -4.406
Pu Ge Pt
8 4 2
Direct
0.124 0.024 0.745 Pu
0.130 0.529 0.755 Pu
0.279 0.380 0.255 Pu
0.471 0.226 0.600 Pu
0.620 0.876 0.900 Pu
0.626 0.870 0.400 Pu
0.774 0.374 0.245 Pu
0.976 0.721 0.100 Pu
0.375 0.007 0.132 Ge
0.757 0.625 0.632 Ge
0.875 0.243 0.868 Ge
0.993 0.125 0.368 Ge
0.250 0.750 0.500 Pt
0.500 0.500 0.000 Pt
```

Top 12 peaks for 10° ≤ 2θ ≤ 90°, sorted by position:
two_theta, intensity
25.0, 31
32.2, 57
32.4, 100
38.4, 34
38.5, 93
50.9, 14
51.2, 28
53.4, 14
53.5, 20
65.9, 13
66.0, 13
67.9, 15

Record 10
For Y2TlO, a DFT-relaxed cell (GGA-PBE, Alexandria) gives the theoretical powder diffractogram in this record (Cu Kα X-rays).
Peak positions follow from Bragg's law for the DFT cell and can differ from measured ones.

Cell and atoms:
```
Y2TlO
1.0
6.422 0.000 0.000
0.000 6.422 0.000
-0.021 0.000 8.812
Y Tl O
8 4 4
Direct
0.000 0.250 0.000 Y
0.000 0.750 0.000 Y
0.249 0.000 0.670 Y
0.251 0.500 0.330 Y
0.500 0.250 0.000 Y
0.500 0.750 0.000 Y
0.749 0.500 0.670 Y
0.751 0.000 0.330 Y
0.249 0.500 0.697 Tl
0.251 0.000 0.303 Tl
0.749 0.000 0.697 Tl
0.751 0.500 0.303 Tl
0.250 0.000 0.930 O
0.250 0.500 0.070 O
0.750 0.000 0.070 O
0.750 0.500 0.930 O
```

Top 12 peaks for 10° ≤ 2θ ≤ 90°, sorted by position:
two_theta, intensity
22.0, 37
27.8, 51
29.6, 63
30.4, 54
34.6, 100
39.7, 66
41.7, 16
50.8, 51
57.4, 22
59.8, 23
66.3, 17
68.7, 27

Record 11
For AcNd10Tm6, a DFT-relaxed cell (GGA-PBE, Alexandria) gives the theoretical powder diffractogram in this record (Cu Kα X-rays).
Peak positions follow from Bragg's law for the DFT cell and can differ from measured ones.

Cell and atoms:
```
AcNd10Tm6
1.0
9.884 0.000 0.000
-4.942 8.560 0.000
0.000 0.000 6.947
Ac Nd Tm
1 10 6
Direct
0.000 0.000 0.000 Ac
0.000 0.284 0.328 Nd
0.000 0.716 0.672 Nd
0.284 0.000 0.328 Nd
0.284 0.284 0.672 Nd
0.333 0.667 0.000 Nd
0.333 0.667 0.500 Nd
0.667 0.333 0.000 Nd
0.667 0.333 0.500 Nd
0.716 0.000 0.672 Nd
0.716 0.716 0.328 Nd
0.000 0.368 0.819 Tm
0.000 0.632 0.181 Tm
0.368 0.000 0.819 Tm
0.368 0.368 0.181 Tm
0.632 0.000 0.181 Tm
0.632 0.632 0.819 Tm
```

Top 12 peaks for 10° ≤ 2θ ≤ 90°, sorted by position:
two_theta, intensity
24.4, 12
30.5, 31
31.4, 84
31.5, 100
45.0, 28
48.2, 12
55.9, 31
56.1, 19
58.6, 9
61.8, 10
65.7, 9
74.6, 9

Record 12
For Zr5Ge4, a DFT-relaxed cell (GGA-PBE, Alexandria) gives the theoretical powder diffractogram in this record (Cu Kα X-rays).
Peak positions follow from Bragg's law for the DFT cell and can differ from measured ones.

Cell and atoms:
```
Zr5Ge4
1.0
7.286 0.000 0.000
0.000 7.286 0.000
0.000 0.000 13.252
Zr Ge
20 16
Direct
0.001 0.344 0.220 Zr
0.002 0.846 0.123 Zr
0.154 0.998 0.377 Zr
0.156 0.501 0.470 Zr
0.171 0.171 0.000 Zr
0.329 0.671 0.250 Zr
0.344 0.001 0.780 Zr
0.346 0.498 0.873 Zr
0.498 0.346 0.127 Zr
0.499 0.844 0.030 Zr
0.501 0.156 0.530 Zr
0.502 0.654 0.627 Zr
0.654 0.502 0.373 Zr
0.656 0.999 0.280 Zr
0.671 0.329 0.750 Zr
0.829 0.829 0.500 Zr
0.844 0.499 0.970 Zr
0.846 0.002 0.877 Zr
0.998 0.154 0.623 Zr
0.999 0.656 0.720 Zr
0.038 0.303 0.816 Ge
0.141 0.799 0.922 Ge
0.197 0.538 0.066 Ge
0.201 0.859 0.578 Ge
0.299 0.359 0.672 Ge
0.303 0.038 0.184 Ge
0.359 0.299 0.328 Ge
0.462 0.803 0.434 Ge
0.538 0.197 0.934 Ge
0.641 0.701 0.828 Ge
0.697 0.962 0.684 Ge
0.701 0.641 0.172 Ge
0.799 0.141 0.078 Ge
0.803 0.462 0.566 Ge
0.859 0.201 0.422 Ge
0.962 0.697 0.316 Ge
```

Top 12 peaks for 10° ≤ 2θ ≤ 90°, sorted by position:
two_theta, intensity
30.6, 17
32.1, 27
34.2, 96
35.5, 95
38.2, 100
39.5, 94
40.5, 18
41.5, 18
44.6, 17
52.1, 19
57.8, 18
60.7, 19